The following is a simulated X-ray powder pattern of K2CrCuO4. It was derived from the GGA+U geometry in Alexandria, using Cu Kα.

Structure:
abc: 5.487 5.487 5.487
angles: 115.26 115.26 98.43
Atoms (fractional coordinates):
K1 0.000 0.000 0.000
K2 0.750 0.250 0.500
Cr1 0.250 0.750 0.500
Cu1 0.500 0.500 0.000
O1 0.257 0.106 0.592
O2 0.336 0.743 0.849
O3 0.513 0.664 0.408
O4 0.894 0.487 0.151

The 10 most intense peaks (2θ = 5–70°), in order of falling intensity:
2θ/deg	Rel. int.
33.01	100
30.43	42
55.73	38
19.54	24
43.57	21
60.52	18
69.25	9
63.32	6
36.42	5
51.71	4